[1]
IrOs2Rh: simulated X-ray diffraction stick pattern (Cu Kα (weighted mean of Kα1 and Kα2)), based on the GGA-PBE geometry in Alexandria.
No peak broadening, texture or thermal motion is included.

Crystal structure
Cell lengths 9.0599, 2.7203, 4.7194 Å; angles 90.00, 99.97, 90.00 degrees
Space group C2/m (No. 12)
Symmetry-distinct sites (fractional):
Ir: 0.0000 0.0000 0.0000 x2
Os: 0.2484 0.5000 0.2484 x4
Rh: 0.0000 0.5000 0.5000 x2

Most intense lines, 2θ from 10° to 90°, by angle:
(hkl)	d (Å)	2θ (°)	Rel. int.
4 0 0	2.231	40.4	34
1 1 1	2.224	40.6	100
2 0 2	1.927	47.2	65
5 1 1	1.364	68.8	21
0 2 0	1.361	69.0	21
6 0 2	1.164	83.0	13
3 1 3	1.162	83.1	21
4 2 0	1.161	83.2	17

***

[2]
Li2GeBr4: simulated X-ray diffraction stick pattern (Cu Kα (weighted mean of Kα1 and Kα2)), based on the GGA-PBE geometry in Alexandria.
No peak broadening, texture or thermal motion is included.

Crystal structure
Cell lengths 13.5202, 14.4387, 7.7073 Å; angles 90.00, 90.00, 90.00 degrees
Space group Fdd2 (No. 43)
Symmetry-distinct sites (fractional):
Li: 0.0248 0.2227 0.0000 x16
Ge: 0.0000 0.0000 0.2439 x8
Br: 0.1036 0.3291 0.7536 x16
Br: 0.1232 0.3199 0.2607 x16

Most intense lines, 2θ from 10° to 90°, by angle:
(hkl)	d (Å)	2θ (°)	Rel. int.
1 1 1	6.074	14.6	35
4 0 0	3.380	26.4	24
2 4 0	3.184	28.0	78
2 2 2	3.037	29.4	100
4 2 2	2.397	37.5	53
0 6 2	2.041	44.4	35
4 6 2	1.747	52.4	18
2 4 4	1.649	55.8	21